Theoretical powder X-ray diffraction pattern
Compound: Ti3SnPd2
Radiation: Cu Kα (λ = 1.5418 Å)
Structure: DFT lattice parameters and positions (PBE)
Kinematic intensities with the Lorentz-polarization factor, no thermal factor.

The 8 most intense peaks (2θ from 10° to 90°), low angle first:
| d/Å | two_theta | I/Imax |
| --- | --- | --- |
| 4.231 | 21.0 | 65.7 |
| 3.307 | 27.0 | 40.6 |
| 2.372 | 37.9 | 92.8 |
| 2.304 | 39.1 | 82.1 |
| 2.244 | 40.2 | 100.0 |
| 2.220 | 40.6 | 32.8 |
| 2.115 | 42.7 | 41.9 |
| 1.825 | 50.0 | 40.6 |

Structure:
```
12
Lattice="-4.2306 5.2875 2.4584 4.2306 -5.2875 2.4584 4.2306 5.2875 -2.4584" Properties=species:S:1:pos:R:3 pbc="T T T"
Ti 1.7172 0.0000 0.0000
Ti 6.7439 0.0000 0.0000
Ti -2.1153 2.6438 1.2292
Ti 1.7172 5.2875 0.0000
Ti 2.1153 2.6438 1.2292
Ti 2.5133 0.0000 2.4584
Sn 4.2306 -2.6438 1.7561
Sn 0.0000 7.9313 0.7023
Pd 4.2306 1.1948 0.5667
Pd 0.0000 1.1948 1.8917
Pd 4.2306 4.0928 0.5667
Pd 0.0000 4.0928 1.8917
```